[1]
Simulated powder diffraction line list
Compound: Rb2LiPu3O12
Radiation: copper Kα
Structure: a structure optimized by DFT (PBE)
Neutral-atom scattering factors, no anomalous dispersion.

Structural model:
abc: 7.8896 7.8896 17.5371
angles: 90.00 90.00 120.00
Space group R-3m (No. 166, hexagonal axes)
One atom of each set of equivalent atoms:
Rb1 0.0000 0.0000 0.1248 [6 per cell]
Li1 0.0000 0.0000 0.5000 [3 per cell]
Pu1 0.0000 0.5000 0.0000 [9 per cell]
O1 0.0709 0.5355 0.1008 [18 per cell]
O2 0.0738 0.5369 0.3574 [18 per cell]

Principal peaks in the range 2θ from 10° to 90°, by angle:
| 2θ (°) | I_rel | h k l |
| --- | --- | --- |
| 13.91 | 17.9 | 1 0 1 |
| 15.16 | 71.2 | 0 0 3 |
| 16.45 | 23.8 | 0 1 2 |
| 24.12 | 25.2 | 1 0 4 |
| 26.58 | 100.0 | 0 2 1 |
| 27.27 | 37.8 | 1 1 3 |
| 28.03 | 64.4 | 2 0 2 |
| 44.86 | 19.2 | 0 2 7 |
| 46.02 | 31.3 | 2 2 0 |
| 48.72 | 20.7 | 2 2 3 |
| 49.40 | 24.4 | 2 0 8 |
| 56.27 | 18.4 | 2 2 6 |

=====

[2]
Simulated powder diffraction line list
Compound: LiPuSbO6
Radiation: copper Kα
Structure: a structure optimized by DFT (PBE)
Neutral-atom scattering factors, no anomalous dispersion.

Structural model:
abc: 4.8850 4.8850 9.4511
angles: 90.00 90.00 90.00
Space group P4_2nm (No. 102)
One atom of each set of equivalent atoms:
Li1 0.0000 0.0000 0.0000 [2 per cell]
Pu1 0.0000 0.0000 0.3319 [2 per cell]
Sb1 0.0000 0.0000 0.6714 [2 per cell]
O1 0.1876 0.1876 0.5053 [4 per cell]
O2 0.1951 0.1951 0.8267 [4 per cell]
O3 0.2037 0.2037 0.1734 [4 per cell]

Principal peaks in the range 2θ from 10° to 90°, by angle:
| 2θ (°) | I_rel | h k l |
| --- | --- | --- |
| 18.78 | 33.5 | 0 0 2 |
| 20.47 | 94.0 | 1 0 1 |
| 25.79 | 100.0 | 1 1 0 |
| 32.10 | 35.2 | 1 1 2 |
| 33.86 | 76.3 | 1 0 3 |
| 36.80 | 23.2 | 2 0 0 |
| 41.62 | 17.0 | 2 0 2 |
| 42.47 | 29.1 | 2 1 1 |
| 50.86 | 67.2 | 2 1 3 |
| 53.02 | 17.2 | 2 2 0 |
| 59.87 | 16.2 | 3 1 0 |
| 64.41 | 20.5 | 3 0 3 |

=====

[3]
Simulated powder diffraction line list
Compound: Li2PuSbO8
Radiation: copper Kα
Structure: a structure optimized by DFT (PBE)
Neutral-atom scattering factors, no anomalous dispersion.

Structural model:
abc: 6.3848 6.3848 7.2799
angles: 90.00 90.00 90.00
Space group I-4m2 (No. 119)
One atom of each set of equivalent atoms:
Li1 0.0000 0.0000 0.0000 [2 per cell]
Li2 0.0000 0.5000 0.2500 [2 per cell]
Pu1 0.0000 0.5000 0.7500 [2 per cell]
Sb1 0.0000 0.0000 0.5000 [2 per cell]
O1 0.0000 0.2059 0.7902 [8 per cell]
O2 0.0000 0.3004 0.4488 [8 per cell]

Principal peaks in the range 2θ from 10° to 90°, by angle:
| 2θ (°) | I_rel | h k l |
| --- | --- | --- |
| 18.48 | 100.0 | 1 0 1 |
| 27.95 | 36.2 | 2 0 0 |
| 31.57 | 40.9 | 1 1 2 |
| 33.72 | 28.8 | 2 1 1 |
| 39.74 | 20.7 | 1 0 3 |
| 44.34 | 15.6 | 3 0 1 |
| 49.28 | 9.8 | 2 1 3 |
| 51.78 | 28.4 | 3 1 2 |
| 53.24 | 12.9 | 3 2 1 |
| 58.36 | 9.0 | 2 0 4 |
| 61.19 | 7.5 | 4 1 1 |
| 67.33 | 7.9 | 3 3 2 |

=====

[4]
Simulated powder diffraction line list
Compound: LiSmPu2O8
Radiation: copper Kα
Structure: a structure optimized by DFT (PBE)
Neutral-atom scattering factors, no anomalous dispersion.

Structural model:
abc: 7.3783 7.3783 7.2720
angles: 90.00 90.00 90.00
Space group I-4m2 (No. 119)
One atom of each set of equivalent atoms:
Li1 0.0000 0.0000 0.0000 [2 per cell]
Sm1 0.0000 0.5000 0.2500 [2 per cell]
Pu1 0.0000 0.0000 0.5000 [2 per cell]
Pu2 0.0000 0.5000 0.7500 [2 per cell]
O1 0.0000 0.1885 0.3102 [8 per cell]
O2 0.0000 0.3242 0.9517 [8 per cell]

Principal peaks in the range 2θ from 10° to 90°, by angle:
| 2θ (°) | I_rel | h k l |
| --- | --- | --- |
| 17.12 | 60.1 | 1 0 1 |
| 24.12 | 100.0 | 2 0 0 |
| 29.73 | 45.8 | 2 1 1 |
| 29.95 | 92.9 | 1 1 2 |
| 34.38 | 27.8 | 2 2 0 |
| 46.23 | 72.6 | 3 1 2 |
| 49.41 | 16.2 | 4 0 0 |
| 55.71 | 16.9 | 4 2 0 |
| 56.42 | 19.1 | 2 0 4 |
| 58.86 | 21.0 | 3 3 2 |
| 69.98 | 17.2 | 5 1 2 |
| 78.25 | 14.4 | 4 2 4 |

=====

Question: Number 2 is which compound?
Answer: LiPuSbO6